Entry 1:
Starting from a GGA-PBE-relaxed structure, the X-ray diffraction stick pattern of BaZn2CdAu5 was simulated for Cu Kα, 1.54184 Å.
Neutral-atom scattering factors, no anomalous dispersion.

The 10 most intense peaks (2θ = 10–90°), in order of rising 2θ:
Position (°2θ), I (rel.)
27.22, 38
33.70, 100
34.09, 32
35.24, 96
49.84, 44
50.70, 34
62.26, 35
62.51, 22
85.21, 16
86.31, 14

Unit cell a=5.093 b=5.093 c=7.890 alpha=90.00 beta=90.00 gamma=90.00
Positions (direct):
Ba 0.000 0.000 0.000
Zn 0.500 0.500 0.327
Zn 0.500 0.500 0.673
Cd 0.000 0.000 0.500
Au 0.000 0.500 0.310
Au 0.000 0.500 0.690
Au 0.500 0.000 0.310
Au 0.500 0.000 0.690
Au 0.500 0.500 0.000

Entry 2:
Starting from a GGA-PBE-relaxed structure, the X-ray diffraction stick pattern of K4PdCl5 was simulated for Cu Kα, 1.54184 Å.
Neutral-atom scattering factors, no anomalous dispersion.

The 10 most intense peaks (2θ = 10–90°), in order of rising 2θ:
Position (°2θ), I (rel.)
13.04, 34
16.63, 29
24.96, 19
27.84, 64
29.41, 100
40.94, 74
42.08, 35
51.21, 37
65.91, 16
76.12, 16

Unit cell a=7.509 b=7.509 c=7.509 alpha=100.49 beta=100.49 gamma=129.47
Positions (direct):
K 0.095 0.706 0.801
K 0.294 0.095 0.389
K 0.706 0.905 0.611
K 0.905 0.294 0.199
Pd 0.500 0.500 0.000
Cl 0.000 0.000 0.000
Cl 0.235 0.416 0.651
Cl 0.416 0.765 0.181
Cl 0.584 0.235 0.819
Cl 0.765 0.584 0.349

Entry 3:
Starting from a GGA-PBE-relaxed structure, the X-ray diffraction stick pattern of Tb5Tm2Th3 was simulated for Cu Kα, 1.54184 Å.
Neutral-atom scattering factors, no anomalous dispersion.

The 10 most intense peaks (2θ = 10–90°), in order of rising 2θ:
Position (°2θ), I (rel.)
30.82, 100
35.56, 17
35.68, 17
35.98, 17
51.26, 12
51.48, 12
60.93, 15
61.10, 15
61.50, 14
64.21, 13

Unit cell a=6.135 b=6.135 c=11.263 alpha=90.50 beta=90.50 gamma=48.43
Positions (direct):
Tb 0.000 0.000 0.000
Tb 0.199 0.199 0.600
Tb 0.301 0.301 0.899
Tb 0.699 0.699 0.101
Tb 0.801 0.801 0.400
Tm 0.402 0.402 0.202
Tm 0.598 0.598 0.798
Th 0.099 0.099 0.299
Th 0.500 0.500 0.500
Th 0.901 0.901 0.701